Diffraction record for NdV2Fe10. The powder XRD pattern is simulated, not measured: it uses a crystal structure in the Materials Project, relaxed with PBE and Cu Kα (weighted mean of Kα1 and Kα2).
Kinematic intensities with the Lorentz-polarization factor, no thermal factor.

Crystal structure
```
data_NdV2Fe10
_chemical_formula_sum 'Nd2 V4 Fe20'
_cell_length_a 4.6771
_cell_length_b 8.5477
_cell_length_c 8.5803
_cell_angle_alpha 90.00
_cell_angle_beta 90.00
_cell_angle_gamma 90.00
_space_group_name_H-M_alt 'I m m m'
_space_group_IT_number 71
_space_group_name_Hall '-I 2 2'
loop_
_atom_site_label
_atom_site_fract_x
_atom_site_fract_y
_atom_site_fract_z
_atom_site_occupancy
Nd1 0.0000 0.0000 0.0000 1
V1 0.0000 0.0000 0.3596 1
Fe1 0.0000 0.2705 0.5000 1
Fe2 0.0000 0.3599 0.0000 1
Fe3 0.0000 0.5000 0.2683 1
Fe4 0.2500 0.2500 0.2500 1
```

The 10 most intense peaks (2θ = 5–70°), in order of rising 2θ:
- 2θ = 30.16°, intensity 44, (1 2 1)
- 2θ = 36.84°, intensity 20, (1 0 3)
- 2θ = 36.94°, intensity 20, (1 3 0)
- 2θ = 38.50°, intensity 16, (2 0 0)
- 2θ = 42.13°, intensity 36, (0 0 4)
- 2θ = 42.29°, intensity 32, (0 4 0)
- 2θ = 42.70°, intensity 100, (1 3 2)
- 2θ = 44.12°, intensity 71, (2 0 2)
- 2θ = 49.23°, intensity 29, (2 2 2)
- 2θ = 62.71°, intensity 13, (2 2 4)